Structure and computed powder diffraction line list of RbNiBiF6 (a PBE+U-relaxed structure; Cu Kα (weighted mean of Kα1 and Kα2)).
Intensities are scaled so that the largest is 100.

Atomic structure:
```
data_RbNiBiF6
_cell_length_a 5.4325
_cell_length_b 5.8235
_cell_length_c 5.8297
_cell_angle_alpha 119.93
_cell_angle_beta 90.02
_cell_angle_gamma 90.07
_space_group_name_H-M_alt 'P 1'
_space_group_IT_number 1
_space_group_name_Hall 'P 1'
loop_
_atom_site_label
_atom_site_fract_x
_atom_site_fract_y
_atom_site_fract_z
Rb1 0.0000 0.0000 0.0000
Ni1 0.4301 0.3333 0.6669
Bi1 0.4963 0.6666 0.3333
F1 0.2298 0.4285 0.4244
F2 0.2298 0.5751 0.0043
F3 0.2298 0.9948 0.5707
F4 0.6303 0.0603 0.3596
F5 0.6300 0.2993 0.9407
F6 0.6299 0.6416 0.7011
```

Largest 10 diffraction maxima, by intensity, 2θ from 10° to 80°:
2θ/deg, Rel. int.
24.07, 100
30.68, 41
39.36, 33
45.64, 32
16.32, 31
17.57, 26
50.70, 23
34.94, 21
54.54, 14
53.78, 13